Entry 1:
Structure and calculated X-ray diffraction stick pattern of Pr4Zn5Cu2 (a GGA-PBE-relaxed structure; Cu Kα (weighted mean of Kα1 and Kα2)).
Lines closer than 0.1° are merged.

Most intense lines, 2θ from 10° to 90°, in order of falling intensity:
2θ (°)  I (rel.)
32.21  100
33.28  82
38.66  75
34.20  70
40.27  45
46.74  43
40.57  43
37.47  38
36.11  38
30.16  27

Crystal structure
Cell lengths 7.121, 3.887, 9.177 Å; angles 90.00, 93.95, 90.00 degrees
Fractional coordinates of all 11 atoms:
Pr: 0.178 0.000 0.374
Pr: 0.257 0.000 0.938
Pr: 0.743 0.000 0.062
Pr: 0.822 0.000 0.626
Zn: 0.200 0.500 0.660
Zn: 0.440 0.500 0.205
Zn: 0.500 0.500 0.500
Zn: 0.560 0.500 0.795
Zn: 0.800 0.500 0.340
Cu: 0.062 0.500 0.135
Cu: 0.938 0.500 0.865

Entry 2:
Structure and calculated X-ray diffraction stick pattern of Pr2Zn6Cu3 (a GGA-PBE-relaxed structure; Cu Kα (weighted mean of Kα1 and Kα2)).
Lines closer than 0.1° are merged.

Most intense lines, 2θ from 10° to 90°, in order of falling intensity:
2θ (°)  I (rel.)
32.07  100
42.79  63
41.88  29
43.09  28
36.75  27
70.34  19
61.65  18
35.01  16
57.89  14
53.71  14

Crystal structure
Cell lengths 7.472, 7.472, 4.199 Å; angles 90.00, 90.00, 120.00 degrees
Fractional coordinates of all 11 atoms:
Pr: 0.333 0.667 0.000
Pr: 0.667 0.333 0.000
Zn: 0.000 0.275 0.500
Zn: 0.000 0.802 0.000
Zn: 0.198 0.198 0.000
Zn: 0.275 0.000 0.500
Zn: 0.725 0.725 0.500
Zn: 0.802 0.000 0.000
Cu: 0.000 0.613 0.500
Cu: 0.387 0.387 0.500
Cu: 0.613 0.000 0.500

Entry 3:
Structure and calculated X-ray diffraction stick pattern of Pr2Zn7Cu (a GGA-PBE-relaxed structure; Cu Kα (weighted mean of Kα1 and Kα2)).
Lines closer than 0.1° are merged.

Most intense lines, 2θ from 10° to 90°, in order of falling intensity:
2θ (°)  I (rel.)
34.18  100
33.28  67
41.99  59
54.60  32
48.81  28
71.71  22
66.31  21
60.89  19
29.35  18
61.81  13

Crystal structure
Cell lengths 4.303, 4.303, 10.353 Å; angles 90.00, 90.00, 90.00 degrees
Fractional coordinates of all 10 atoms:
Pr: 0.000 0.500 0.247
Pr: 0.500 0.000 0.753
Zn: 0.000 0.000 0.000
Zn: 0.000 0.000 0.500
Zn: 0.000 0.500 0.634
Zn: 0.000 0.500 0.873
Zn: 0.500 0.000 0.127
Zn: 0.500 0.000 0.366
Zn: 0.500 0.500 0.500
Cu: 0.500 0.500 0.000

Entry 4:
Structure and calculated X-ray diffraction stick pattern of PrZn2Cu6 (a GGA-PBE-relaxed structure; Cu Kα (weighted mean of Kα1 and Kα2)).
Lines closer than 0.1° are merged.

Most intense lines, 2θ from 10° to 90°, in order of falling intensity:
2θ (°)  I (rel.)
46.64  100
26.84  57
32.51  49
86.56  30
42.64  20
68.08  15
65.02  15
77.49  14
58.00  12
28.06  12

Crystal structure
Cell lengths 7.790, 7.790, 7.790 Å; angles 60.00, 60.00, 60.00 degrees
Fractional coordinates of all 18 atoms:
Pr: 0.125 0.125 0.125
Pr: 0.875 0.875 0.875
Zn: 0.000 0.500 0.500
Zn: 0.500 0.000 0.500
Zn: 0.500 0.500 0.000
Zn: 0.500 0.500 0.500
Cu: 0.129 0.129 0.621
Cu: 0.129 0.621 0.129
Cu: 0.129 0.621 0.621
Cu: 0.379 0.379 0.871
Cu: 0.379 0.871 0.379
Cu: 0.379 0.871 0.871
Cu: 0.621 0.129 0.129
Cu: 0.621 0.129 0.621
Cu: 0.621 0.621 0.129
Cu: 0.871 0.379 0.379
Cu: 0.871 0.379 0.871
Cu: 0.871 0.871 0.379